The following is a computed powder diffractogram of Rb2Mo2O7. It was derived from a GGA+U-relaxed structure, using Cu Kα X-rays.
Kinematic intensities with the Lorentz-polarization factor, no thermal factor.

Main lines, most intense first (2θ = 10–90°):
(2 2 2), 2θ 26.15, intensity 100.0
(0 4 0), 2θ 27.13, intensity 27.2
(4 0 0), 2θ 29.33, intensity 20.8
(6 2 2), 2θ 50.11, intensity 14.7
(2 6 2), 2θ 47.34, intensity 13.8
(4 4 0), 2θ 40.38, intensity 13.4
(0 0 4), 2θ 34.01, intensity 10.3
(0 4 4), 2θ 44.04, intensity 8.8
(4 0 4), 2θ 45.49, intensity 7.5
(0 1 1), 2θ 10.76, intensity 7.4
(2 0 2), 2θ 22.31, intensity 6.7
(4 4 4), 2θ 53.80, intensity 6.2

Structural model:
Cell lengths 12.180, 13.149, 10.543 Å; angles 90.00, 90.00, 90.00 degrees
Space group Ama2 (No. 40)
Asymmetric unit:
Rb1 0.000 0.000 0.000 (multiplicity 4)
Rb2 0.250 0.013 0.750 (multiplicity 4)
Rb3 0.250 0.245 0.512 (multiplicity 4)
Rb4 0.250 0.285 0.991 (multiplicity 4)
Mo1 0.000 0.000 0.422 (multiplicity 4)
Mo2 0.012 0.251 0.263 (multiplicity 8)
Mo3 0.250 0.036 0.203 (multiplicity 4)
O1 0.028 0.143 0.382 (multiplicity 8)
O2 0.040 0.211 0.106 (multiplicity 8)
O3 0.098 0.352 0.312 (multiplicity 8)
O4 0.111 0.483 0.026 (multiplicity 8)
O5 0.124 0.475 0.759 (multiplicity 8)
O6 0.125 0.204 0.766 (multiplicity 8)
O7 0.250 0.029 0.033 (multiplicity 4)
O8 0.250 0.164 0.252 (multiplicity 4)

***

The following is a computed powder diffractogram of RbMoS2O8. It was derived from a GGA+U-relaxed structure, using Cu Kα X-rays.
Kinematic intensities with the Lorentz-polarization factor, no thermal factor.

Main lines, most intense first (2θ = 10–90°):
(0 1 2), 2θ 29.05, intensity 100.0
(1 0 0), 2θ 20.44, intensity 49.1
(0 2 2), 2θ 46.73, intensity 47.6
(0 1 1), 2θ 22.88, intensity 40.1
(1 1 0), 2θ 35.81, intensity 35.4
(2 1 2), 2θ 60.24, intensity 31.5
(2 -1 2), 2θ 41.57, intensity 27.8
(1 1 4), 2θ 55.98, intensity 23.8
(0 0 1), 2θ 10.17, intensity 19.9
(2 0 6), 2θ 79.52, intensity 12.5
(3 0 0), 2θ 64.34, intensity 10.7
(2 1 4), 2θ 72.08, intensity 9.8

Structural model:
Cell lengths 5.0156, 5.0156, 8.7000 Å; angles 90.00, 90.00, 120.00 degrees
Space group P-3 (No. 147)
Asymmetric unit:
Rb1 0.0000 0.0000 0.0000 (multiplicity 1)
Mo1 0.0000 0.0000 0.5000 (multiplicity 1)
S1 0.3333 0.6667 0.7095 (multiplicity 2)
O1 0.0716 0.3693 0.6511 (multiplicity 6)
O2 0.3333 0.6667 0.8773 (multiplicity 2)

***

The following is a computed powder diffractogram of RbSbMoO6. It was derived from a GGA+U-relaxed structure, using Cu Kα X-rays.
Kinematic intensities with the Lorentz-polarization factor, no thermal factor.

Main lines, most intense first (2θ = 10–90°):
(2 1 1), 2θ 28.52, intensity 100.0
(1 1 2), 2θ 27.65, intensity 92.0
(0 1 1), 2θ 14.41, intensity 71.1
(2 2 0), 2θ 30.16, intensity 69.0
(2 4 2), 2θ 49.60, intensity 64.8
(0 2 2), 2θ 29.05, intensity 60.3
(0 3 1), 2θ 28.63, intensity 55.8
(0 3 3), 2θ 44.17, intensity 34.0
(1 3 0), 2θ 28.91, intensity 31.0
(1 1 0), 2θ 14.95, intensity 27.3
(1 2 1), 2θ 24.21, intensity 25.9
(4 2 2), 2θ 59.05, intensity 22.0

Structural model:
Cell lengths 7.270, 10.234, 7.691 Å; angles 90.00, 90.00, 90.00 degrees
Space group Ima2 (No. 46)
Asymmetric unit:
Rb1 0.250 0.137 0.000 (multiplicity 4)
Sb1 0.000 0.000 0.439 (multiplicity 4)
Mo1 0.250 0.737 0.224 (multiplicity 4)
O1 0.063 0.628 0.126 (multiplicity 8)
O2 0.063 0.630 0.753 (multiplicity 8)
O3 0.250 0.078 0.434 (multiplicity 4)
O4 0.250 0.676 0.440 (multiplicity 4)

***

Repeat the third record exactly.
The following is a computed powder diffractogram of RbSbMoO6. It was derived from a GGA+U-relaxed structure, using Cu Kα X-rays.
Kinematic intensities with the Lorentz-polarization factor, no thermal factor.

Main lines, most intense first (2θ = 10–90°):
(2 1 1), 2θ 28.52, intensity 100.0
(1 1 2), 2θ 27.65, intensity 92.0
(0 1 1), 2θ 14.41, intensity 71.1
(2 2 0), 2θ 30.16, intensity 69.0
(2 4 2), 2θ 49.60, intensity 64.8
(0 2 2), 2θ 29.05, intensity 60.3
(0 3 1), 2θ 28.63, intensity 55.8
(0 3 3), 2θ 44.17, intensity 34.0
(1 3 0), 2θ 28.91, intensity 31.0
(1 1 0), 2θ 14.95, intensity 27.3
(1 2 1), 2θ 24.21, intensity 25.9
(4 2 2), 2θ 59.05, intensity 22.0

Structural model:
Cell lengths 7.270, 10.234, 7.691 Å; angles 90.00, 90.00, 90.00 degrees
Space group Ima2 (No. 46)
Asymmetric unit:
Rb1 0.250 0.137 0.000 (multiplicity 4)
Sb1 0.000 0.000 0.439 (multiplicity 4)
Mo1 0.250 0.737 0.224 (multiplicity 4)
O1 0.063 0.628 0.126 (multiplicity 8)
O2 0.063 0.630 0.753 (multiplicity 8)
O3 0.250 0.078 0.434 (multiplicity 4)
O4 0.250 0.676 0.440 (multiplicity 4)